The following is a simulated X-ray diffraction stick pattern of YP2Pd7Pb2. It was derived from a DFT-relaxed cell (GGA-PBE, Alexandria), using Cu Kα X-rays.

Cell and atoms:
```
data_YP2Pd7Pb2
_space_group_name_H-M_alt 'C 1 2/m 1'
_space_group_IT_number 12
_space_group_name_Hall '-C 2y'
_cell_length_a 5.866
_cell_length_b 5.826
_cell_length_c 13.572
_cell_angle_alpha 90.00
_cell_angle_beta 98.81
_cell_angle_gamma 90.00
loop_
_atom_site_label
_atom_site_type_symbol
_atom_site_fract_x
_atom_site_fract_y
_atom_site_fract_z
_atom_site_occupancy
Y1 Y 0.000 0.000 0.000 1
P1 P 0.088 0.500 0.245 1
Pd1 Pd 0.000 0.500 0.000 1
Pd2 Pd 0.107 0.500 0.418 1
Pd3 Pd 0.191 0.250 0.842 1
Pb1 Pb 0.104 0.000 0.380 1
```

The 10 most intense peaks (2θ = 10–80°), in order of rising 2θ:
| 2θ (°) | I_rel | index |
| --- | --- | --- |
| 26.59 | 477 | 0 0 4 |
| 31.43 | 548 | 0 2 1 |
| 33.41 | 589 | 0 0 5 |
| 33.54 | 341 | 0 2 2 |
| 34.20 | 787 | 2 0 -3 |
| 35.58 | 987 | 2 0 2 |
| 36.83 | 1000 | 0 2 3 |
| 43.85 | 683 | 2 2 -1 |
| 44.08 | 383 | 2 2 0 |
| 75.34 | 303 | 2 4 2 |

The following is a simulated X-ray diffraction stick pattern of La2PuO6. It was derived from a DFT-relaxed cell (GGA-PBE, Alexandria), using Cu Kα X-rays.

Cell and atoms:
```
data_La2PuO6
_space_group_name_H-M_alt 'P 42/m n m'
_space_group_IT_number 136
_space_group_name_Hall '-P 4n 2n'
_cell_length_a 5.249
_cell_length_b 5.249
_cell_length_c 10.980
_cell_angle_alpha 90.00
_cell_angle_beta 90.00
_cell_angle_gamma 90.00
loop_
_atom_site_label
_atom_site_type_symbol
_atom_site_fract_x
_atom_site_fract_y
_atom_site_fract_z
_atom_site_occupancy
La1 La 0.000 0.000 0.168 1
Pu1 Pu 0.000 0.000 0.500 1
O1 O 0.180 0.180 0.351 1
O2 O 0.224 0.224 0.000 1
```

The 10 most intense peaks (2θ = 10–80°), in order of rising 2θ:
| 2θ (°) | I_rel | index |
| --- | --- | --- |
| 18.74 | 154 | 1 0 1 |
| 23.98 | 1000 | 1 1 0 |
| 29.76 | 959 | 1 0 3 |
| 34.16 | 279 | 2 0 0 |
| 45.93 | 733 | 2 1 3 |
| 49.09 | 169 | 2 2 0 |
| 55.35 | 178 | 3 1 0 |
| 56.03 | 196 | 1 1 6 |
| 58.47 | 209 | 3 0 3 |
| 69.49 | 170 | 3 2 3 |

The following is a simulated X-ray diffraction stick pattern of ZnGa2Si2. It was derived from a DFT-relaxed cell (GGA-PBE, Alexandria), using Cu Kα X-rays.

Cell and atoms:
```
data_ZnGa2Si2
_space_group_name_H-M_alt 'I 4/m m m'
_space_group_IT_number 139
_space_group_name_Hall '-I 4 2'
_cell_length_a 4.422
_cell_length_b 4.422
_cell_length_c 9.771
_cell_angle_alpha 90.00
_cell_angle_beta 90.00
_cell_angle_gamma 90.00
loop_
_atom_site_label
_atom_site_type_symbol
_atom_site_fract_x
_atom_site_fract_y
_atom_site_fract_z
_atom_site_occupancy
Zn1 Zn 0.000 0.000 0.000 1
Ga1 Ga 0.000 0.500 0.250 1
Si1 Si 0.000 0.000 0.382 1
```

The 10 most intense peaks (2θ = 10–80°), in order of rising 2θ:
| 2θ (°) | I_rel | index |
| --- | --- | --- |
| 18.16 | 118 | 0 0 2 |
| 34.04 | 1000 | 1 1 2 |
| 34.19 | 225 | 1 0 3 |
| 40.81 | 456 | 2 0 0 |
| 47.22 | 134 | 1 1 4 |
| 54.26 | 113 | 2 1 3 |
| 56.10 | 122 | 2 0 4 |
| 59.09 | 147 | 2 2 0 |
| 64.52 | 122 | 1 1 6 |
| 69.99 | 254 | 3 1 2 |

The following is a simulated X-ray diffraction stick pattern of NdIn6Cu6. It was derived from a DFT-relaxed cell (GGA-PBE, Alexandria), using Cu Kα X-rays.

Cell and atoms:
```
data_NdIn6Cu6
_space_group_name_H-M_alt 'I m m m'
_space_group_IT_number 71
_space_group_name_Hall '-I 2 2'
_cell_length_a 5.503
_cell_length_b 9.282
_cell_length_c 9.326
_cell_angle_alpha 90.00
_cell_angle_beta 90.00
_cell_angle_gamma 90.00
loop_
_atom_site_label
_atom_site_type_symbol
_atom_site_fract_x
_atom_site_fract_y
_atom_site_fract_z
_atom_site_occupancy
Nd1 Nd 0.000 0.000 0.000 1
In1 In 0.000 0.000 0.344 1
In2 In 0.000 0.339 0.000 1
In3 In 0.000 0.500 0.313 1
Cu1 Cu 0.000 0.265 0.500 1
Cu2 Cu 0.250 0.250 0.250 1
```

The 10 most intense peaks (2θ = 10–80°), in order of rising 2θ:
| 2θ (°) | I_rel | index |
| --- | --- | --- |
| 32.54 | 316 | 2 0 0 |
| 33.10 | 568 | 1 0 3 |
| 33.22 | 206 | 1 3 0 |
| 38.00 | 592 | 2 2 0 |
| 38.53 | 1000 | 1 2 3 |
| 38.81 | 298 | 0 4 0 |
| 42.85 | 453 | 2 2 2 |
| 43.43 | 300 | 0 2 4 |
| 62.07 | 236 | 3 2 3 |
| 70.06 | 227 | 1 6 3 |